# Be2CoF2
Calculated powder diffraction line list, a wavelength of 1.5418 Å. Input: a crystal structure in Alexandria, relaxed with GGA+U.
No peak broadening, texture or thermal motion is included.

Structural model:
abc: 3.1963 3.1963 9.1823
angles: 90.00 90.00 90.00
Space group I4/mmm (No. 139)
Symmetry-distinct sites (fractional):
Be 0.0000 0.0000 0.1258
Co 0.0000 0.0000 0.5000
F 0.0000 0.5000 0.2500

Top 12 peaks for 5° ≤ 2θ ≤ 70°, low angle first:
d/Å	2θ/deg	I/Imax	h k l
4.591	19.33	10	0 0 2
3.019	29.59	92	1 0 1
2.296	39.25	30	0 0 4
2.260	39.89	9	1 1 0
2.211	40.82	66	1 0 3
2.028	44.69	100	1 1 2
1.611	57.20	1	1 1 4
1.598	57.68	26	2 0 0
1.592	57.91	22	1 0 5
1.530	60.50	1	0 0 6
1.509	61.43	3	2 0 2
1.412	66.16	16	2 1 1